[1]
Simulated powder X-ray diffraction pattern
Compound: La5Co4
Radiation: Cu Kα X-rays
Structure: a crystal structure in Alexandria, relaxed with GGA-PBE
Peak positions follow from Bragg's law for the DFT cell and can differ from measured ones.

Top 8 peaks for 10 to 80 degrees two-theta, sorted by position:
| 2θ (°) | I (rel.) |
| --- | --- |
| 27.55 | 48.3 |
| 28.55 | 36.7 |
| 30.14 | 67.2 |
| 32.40 | 79.6 |
| 32.60 | 100.0 |
| 35.61 | 55.3 |
| 38.54 | 47.6 |
| 46.99 | 36.5 |

a b c (Å): 3.868 6.242 9.960
angles (deg): 72.05 78.91 71.98
Space group P-1 (No. 2)
Asymmetric unit:
La 0.000 0.000 0.000 (multiplicity 1)
La 0.109 0.180 0.601 (multiplicity 2)
La 0.218 0.373 0.193 (multiplicity 2)
Co 0.406 0.573 0.616 (multiplicity 2)
Co 0.492 0.214 0.803 (multiplicity 2)


[2]
Simulated powder X-ray diffraction pattern
Compound: MgGaPdAu2
Radiation: Cu Kα X-rays
Structure: a crystal structure in Alexandria, relaxed with GGA-PBE
Peak positions follow from Bragg's law for the DFT cell and can differ from measured ones.

Top 8 peaks for 10 to 80 degrees two-theta, sorted by position:
| 2θ (°) | I (rel.) |
| --- | --- |
| 22.21 | 31.4 |
| 25.77 | 16.3 |
| 28.49 | 23.5 |
| 34.08 | 31.5 |
| 36.12 | 19.5 |
| 39.45 | 31.2 |
| 41.05 | 100.0 |
| 72.63 | 15.7 |

a b c (Å): 3.218 13.706 8.006
angles (deg): 90.00 90.00 90.00
Space group Cmcm (No. 63)
Asymmetric unit:
Mg 0.000 0.179 0.250 (multiplicity 4)
Ga 0.000 0.000 0.000 (multiplicity 4)
Pd 0.000 0.486 0.750 (multiplicity 4)
Au 0.000 0.338 0.041 (multiplicity 8)


[3]
Simulated powder X-ray diffraction pattern
Compound: Ac2Mg5Hg3
Radiation: Cu Kα X-rays
Structure: a crystal structure in Alexandria, relaxed with GGA-PBE
Peak positions follow from Bragg's law for the DFT cell and can differ from measured ones.

Top 8 peaks for 10 to 80 degrees two-theta, sorted by position:
| 2θ (°) | I (rel.) |
| --- | --- |
| 22.20 | 16.0 |
| 23.45 | 23.4 |
| 24.03 | 14.2 |
| 26.46 | 12.1 |
| 31.01 | 100.0 |
| 33.91 | 31.4 |
| 36.44 | 24.0 |
| 62.23 | 14.1 |

a b c (Å): 4.931 28.175 7.669
angles (deg): 90.00 90.00 90.00
Space group Cmc2_1 (No. 36)
Asymmetric unit:
Ac 0.000 0.017 0.000 (multiplicity 4)
Ac 0.000 0.325 0.970 (multiplicity 4)
Mg 0.000 0.102 0.665 (multiplicity 4)
Mg 0.000 0.207 0.160 (multiplicity 4)
Mg 0.000 0.208 0.776 (multiplicity 4)
Mg 0.000 0.371 0.477 (multiplicity 4)
Mg 0.000 0.444 0.815 (multiplicity 4)
Hg 0.000 0.110 0.270 (multiplicity 4)
Hg 0.000 0.268 0.468 (multiplicity 4)
Hg 0.000 0.451 0.210 (multiplicity 4)